[1]
Simulated powder XRD pattern
Compound: NaFe2Sn2
Radiation: Cu Kα
Structure: a cell relaxed with PBE
Peak positions follow from Bragg's law for the DFT cell and can differ from measured ones.

Largest 10 diffraction maxima, in order of rising 2θ, 15° ≤ 2θ ≤ 90°:
| h k l | d/Å | 2θ/deg | Rel. int. |
| --- | --- | --- | --- |
| 0 0 2 | 4.253 | 20.9 | 73 |
| 1 1 2 | 2.689 | 33.3 | 100 |
| 2 0 0 | 2.454 | 36.6 | 98 |
| 2 0 2 | 2.125 | 42.5 | 46 |
| 1 1 4 | 1.813 | 50.3 | 51 |
| 2 2 0 | 1.735 | 52.8 | 38 |
| 2 2 2 | 1.607 | 57.3 | 27 |
| 3 1 2 | 1.458 | 63.9 | 32 |
| 3 1 4 | 1.254 | 75.9 | 31 |
| 4 2 0 | 1.097 | 89.3 | 20 |

Cell and atoms:
a = 4.9067 Å, b = 4.9067 Å, c = 8.5087 Å
α = 90.00°, β = 90.00°, γ = 90.00°
Space group I4/mmm (No. 139)
Symmetry-distinct sites (fractional):
Na  0.0000  0.0000  0.0000 [2 per cell]
Fe  0.0000  0.0000  0.3721 [4 per cell]
Sn  0.0000  0.5000  0.2500 [4 per cell]

[2]
Simulated powder XRD pattern
Compound: Li3Ac2TlPd12
Radiation: Cu Kα
Structure: a cell relaxed with PBE
Peak positions follow from Bragg's law for the DFT cell and can differ from measured ones.

Largest 10 diffraction maxima, in order of rising 2θ, 15° ≤ 2θ ≤ 90°:
| h k l | d/Å | 2θ/deg | Rel. int. |
| --- | --- | --- | --- |
| 1 0 1 | 5.549 | 16.0 | 25 |
| 1 1 3 | 3.092 | 28.9 | 59 |
| 1 1 6 | 2.703 | 33.1 | 21 |
| 0 2 4 | 2.633 | 34.1 | 100 |
| 0 1 11 | 2.383 | 37.7 | 51 |
| 2 0 8 | 2.227 | 40.5 | 88 |
| 2 1 7 | 1.898 | 47.9 | 23 |
| 0 3 3 | 1.850 | 49.3 | 31 |
| 2 2 0 | 1.632 | 56.4 | 33 |
| 2 3 11 | 1.163 | 83.0 | 23 |

Cell and atoms:
a = 6.5294 Å, b = 6.5294 Å, c = 28.9058 Å
α = 90.00°, β = 90.00°, γ = 120.00°
Space group R-3m (No. 166, hexagonal axes)
Symmetry-distinct sites (fractional):
Li  0.0000  0.5000  0.0000 [9 per cell]
Ac  0.0000  0.0000  0.1319 [6 per cell]
Tl  0.0000  0.0000  0.5000 [3 per cell]
Pd  0.0461  0.5231  0.8922 [18 per cell]
Pd  0.0570  0.5285  0.6243 [18 per cell]

[3]
Simulated powder XRD pattern
Compound: NpAgSnCl6
Radiation: Cu Kα
Structure: a cell relaxed with PBE
Peak positions follow from Bragg's law for the DFT cell and can differ from measured ones.

Largest 10 diffraction maxima, in order of rising 2θ, 15° ≤ 2θ ≤ 90°:
| h k l | d/Å | 2θ/deg | Rel. int. |
| --- | --- | --- | --- |
| 1 0 1 | 5.416 | 16.4 | 20 |
| 1 0 2 | 4.391 | 20.2 | 100 |
| 1 1 0 | 3.440 | 25.9 | 40 |
| 1 1 2 | 3.040 | 29.4 | 40 |
| 2 0 2 | 2.708 | 33.1 | 30 |
| 1 1 4 | 2.362 | 38.1 | 76 |
| 2 1 2 | 2.128 | 42.5 | 30 |
| 3 0 0 | 1.986 | 45.7 | 31 |
| 4 -2 4 | 1.520 | 61.0 | 19 |
| 4 1 4 | 1.207 | 79.4 | 18 |

Cell and atoms:
a = 6.8802 Å, b = 6.8802 Å, c = 12.9908 Å
α = 90.00°, β = 90.00°, γ = 120.00°
Space group P-31c (No. 163)
Symmetry-distinct sites (fractional):
Np  0.3333  0.6667  0.2500 [2 per cell]
Ag  0.3333  0.6667  0.7500 [2 per cell]
Sn  0.0000  0.0000  0.0000 [2 per cell]
Cl  0.0055  0.3454  0.1273 [12 per cell]

[4]
Simulated powder XRD pattern
Compound: Sc2Ga3Ir2
Radiation: Cu Kα
Structure: a cell relaxed with PBE
Peak positions follow from Bragg's law for the DFT cell and can differ from measured ones.

Largest 10 diffraction maxima, in order of rising 2θ, 15° ≤ 2θ ≤ 90°:
| h k l | d/Å | 2θ/deg | Rel. int. |
| --- | --- | --- | --- |
| 2 0 -1 | 4.411 | 20.1 | 100 |
| 1 1 -1 | 3.448 | 25.8 | 66 |
| 2 0 1 | 3.110 | 28.7 | 45 |
| 3 1 0 | 2.400 | 37.5 | 48 |
| 3 1 -2 | 2.236 | 40.3 | 71 |
| 1 1 2 | 2.230 | 40.4 | 94 |
| 4 0 0 | 2.207 | 40.9 | 38 |
| 0 2 0 | 2.072 | 43.7 | 49 |
| 3 1 1 | 2.048 | 44.2 | 35 |
| 1 1 -3 | 1.938 | 46.9 | 32 |

Cell and atoms:
a = 9.4460 Å, b = 4.1442 Å, c = 6.6306 Å
α = 90.00°, β = 110.78°, γ = 90.00°
Space group C2/m (No. 12)
Symmetry-distinct sites (fractional):
Sc  0.1548  0.0000  0.2819 [4 per cell]
Ga  0.0000  0.5000  0.5000 [2 per cell]
Ga  0.1261  0.5000  0.9512 [4 per cell]
Ir  0.1400  0.0000  0.7001 [4 per cell]